For YTiW2O8, a crystal structure in the Materials Project, relaxed with PBE+U gives the simulated PXRD pattern in this record (Cu Kα (λ = 1.5418 Å)).
Intensities are scaled so that the largest is 1000.

Structure:
```
data_YTiW2O8
_chemical_formula_sum 'Y1 Ti1 W2 O8'
_space_group_name_H-M_alt 'P 1'
_space_group_IT_number 1
_space_group_name_Hall 'P 1'
_cell_length_a 5.066
_cell_length_b 5.561
_cell_length_c 6.127
_cell_angle_alpha 104.84
_cell_angle_beta 90.11
_cell_angle_gamma 107.05
loop_
_atom_site_label
_atom_site_type_symbol
_atom_site_fract_x
_atom_site_fract_y
_atom_site_fract_z
Y1 Y 0.000 0.000 0.000
Ti1 Ti 0.482 0.983 0.503
W1 W 0.216 0.468 0.625
W2 W 0.720 0.506 0.315
O1 O 0.131 0.694 0.418
O2 O 0.157 0.685 0.904
O3 O 0.278 0.163 0.724
O4 O 0.319 0.245 0.306
O5 O 0.622 0.761 0.637
O6 O 0.673 0.816 0.231
O7 O 0.767 0.296 0.051
O8 O 0.787 0.293 0.530
```

Top 10 peaks for 2θ = 15–90°, low angle first:
| (hkl) | Position (°2θ) | d/Å | I_rel |
| --- | --- | --- | --- |
| 0 0 1 | 15.01 | 5.903 | 526 |
| 0 1 0 | 17.31 | 5.122 | 554 |
| 0 1 -1 | 19.67 | 4.514 | 378 |
| 1 0 1 | 24.78 | 3.593 | 1000 |
| 0 1 1 | 25.91 | 3.438 | 332 |
| -1 1 1 | 27.80 | 3.210 | 584 |
| 1 1 -1 | 29.73 | 3.005 | 657 |
| 1 -2 1 | 34.21 | 2.621 | 775 |
| 2 -1 0 | 36.00 | 2.495 | 304 |
| 2 1 0 | 46.18 | 1.966 | 485 |